This entry pairs a crystal structure of Mg14VB with its computed powder X-ray diffraction pattern. Radiation: Cu Kα X-rays. Structure: a GGA-PBE-relaxed structure.
Peak positions follow from Bragg's law for the DFT cell and can differ from measured ones.

Cell and atoms:
Unit cell a=10.040 b=6.217 c=6.217 alpha=59.42 beta=90.00 gamma=90.00
Fractional coordinates of all 16 atoms:
1 Mg 0.000 0.000 0.000
2 Mg 0.000 0.003 0.500
3 Mg 0.000 0.499 0.499
4 Mg 0.000 0.500 0.003
5 Mg 0.251 0.665 0.665
6 Mg 0.262 0.162 0.162
7 Mg 0.269 0.167 0.677
8 Mg 0.269 0.677 0.167
9 Mg 0.500 0.503 0.995
10 Mg 0.500 0.995 0.503
11 Mg 0.731 0.167 0.677
12 Mg 0.731 0.677 0.167
13 Mg 0.738 0.162 0.162
14 Mg 0.749 0.665 0.665
15 V 0.500 0.504 0.504
16 B 0.500 0.998 0.998

Principal peaks in the range 2θ = 15–90°, sorted by position:
| 2θ (°) | d/Å | I (rel.) |
| --- | --- | --- |
| 33.5 | 2.676 | 24 |
| 35.8 | 2.510 | 38 |
| 37.8 | 2.378 | 51 |
| 38.1 | 2.362 | 100 |
| 49.8 | 1.831 | 14 |
| 59.5 | 1.554 | 17 |
| 65.8 | 1.419 | 16 |
| 71.4 | 1.321 | 18 |